Entry 1:
BaPb12: computed powder X-ray diffraction pattern (λ = 1.5418 Å (Cu Kα)), based on the PBE geometry in Alexandria.
Neutral-atom scattering factors, no anomalous dispersion.

Top 10 peaks for 2θ from 10° to 90°, in order of falling intensity:
2θ (°), d [Å], I_rel
34.65, 2.589, 100.0
30.96, 2.889, 95.9
34.97, 2.566, 87.6
31.26, 2.861, 74.4
30.85, 2.898, 63.4
26.75, 3.332, 37.8
55.13, 1.666, 35.1
50.36, 1.812, 25.3
54.93, 1.671, 23.8
67.43, 1.389, 16.4

Atomic structure:
Lattice parameters (Å, degrees): 8.833 8.833 8.833 97.97 97.97 136.27
Fractional coordinates of all 13 atoms:
Ba  0.000  0.000  0.000
Pb  0.000  0.000  0.500
Pb  0.000  0.355  0.355
Pb  0.000  0.500  0.000
Pb  0.000  0.645  0.645
Pb  0.286  0.500  0.786
Pb  0.355  0.000  0.355
Pb  0.500  0.000  0.000
Pb  0.500  0.286  0.786
Pb  0.500  0.500  0.500
Pb  0.500  0.714  0.214
Pb  0.645  0.000  0.645
Pb  0.714  0.500  0.214



Entry 2:
Ba3Pb5: computed powder X-ray diffraction pattern (λ = 1.5418 Å (Cu Kα)), based on the PBE geometry in Alexandria.
Neutral-atom scattering factors, no anomalous dispersion.

Top 10 peaks for 2θ from 10° to 90°, in order of falling intensity:
2θ (°), d [Å], I_rel
29.34, 3.044, 100.0
34.61, 2.592, 36.7
30.11, 2.968, 31.0
30.92, 2.892, 29.8
34.18, 2.623, 27.3
29.83, 2.995, 25.6
31.52, 2.838, 24.1
14.55, 6.088, 22.8
49.94, 1.826, 20.9
57.84, 1.594, 20.3

Atomic structure:
Lattice parameters (Å, degrees): 7.314 7.314 11.568 90.00 90.00 78.20
Fractional coordinates of all 16 atoms:
Ba  0.137  0.863  0.750
Ba  0.293  0.293  0.000
Ba  0.293  0.293  0.500
Ba  0.707  0.707  0.000
Ba  0.707  0.707  0.500
Ba  0.863  0.137  0.250
Pb  0.013  0.585  0.250
Pb  0.196  0.804  0.055
Pb  0.196  0.804  0.445
Pb  0.415  0.987  0.250
Pb  0.461  0.539  0.250
Pb  0.539  0.461  0.750
Pb  0.585  0.013  0.750
Pb  0.804  0.196  0.555
Pb  0.804  0.196  0.945
Pb  0.987  0.415  0.750



Entry 3:
BaPb3: computed powder X-ray diffraction pattern (λ = 1.5418 Å (Cu Kα)), based on the PBE geometry in Alexandria.
Neutral-atom scattering factors, no anomalous dispersion.

Top 10 peaks for 2θ from 10° to 90°, in order of falling intensity:
2θ (°), d [Å], I_rel
31.04, 2.881, 100.0
32.71, 2.738, 87.1
30.48, 2.932, 56.2
59.06, 1.564, 40.2
28.06, 3.180, 37.2
49.28, 1.849, 33.7
53.44, 1.715, 22.1
56.66, 1.625, 18.2
39.20, 2.298, 16.6
14.23, 6.225, 15.6

Atomic structure:
Lattice parameters (Å, degrees): 9.779 9.779 9.779 44.45 44.45 44.45
Fractional coordinates of all 12 atoms:
Ba  0.000  0.000  0.000
Ba  0.218  0.218  0.218
Ba  0.782  0.782  0.782
Pb  0.000  0.500  0.500
Pb  0.264  0.703  0.703
Pb  0.297  0.297  0.736
Pb  0.297  0.736  0.297
Pb  0.500  0.000  0.500
Pb  0.500  0.500  0.000
Pb  0.703  0.264  0.703
Pb  0.703  0.703  0.264
Pb  0.736  0.297  0.297



Entry 4:
Ba3Pb4: computed powder X-ray diffraction pattern (λ = 1.5418 Å (Cu Kα)), based on the PBE geometry in Alexandria.
Neutral-atom scattering factors, no anomalous dispersion.

Top 10 peaks for 2θ from 10° to 90°, in order of falling intensity:
2θ (°), d [Å], I_rel
31.35, 2.853, 100.0
28.31, 3.153, 87.0
34.00, 2.637, 48.1
32.12, 2.786, 30.8
26.72, 3.336, 28.1
52.53, 1.742, 26.4
24.37, 3.653, 22.4
47.47, 1.915, 21.1
17.43, 5.089, 20.4
47.76, 1.905, 19.4

Atomic structure:
Lattice parameters (Å, degrees): 6.979 6.979 16.514 90.00 90.00 135.60
Fractional coordinates of all 14 atoms:
Ba  0.005  0.995  0.500
Ba  0.282  0.718  0.348
Ba  0.287  0.713  0.647
Ba  0.713  0.287  0.147
Ba  0.718  0.282  0.848
Ba  0.995  0.005  0.000
Pb  0.024  0.976  0.236
Pb  0.276  0.724  0.995
Pb  0.419  0.581  0.149
Pb  0.438  0.562  0.853
Pb  0.562  0.438  0.353
Pb  0.581  0.419  0.649
Pb  0.724  0.276  0.495
Pb  0.976  0.024  0.736



Entry 5:
BaPd2Pb8: computed powder X-ray diffraction pattern (λ = 1.5418 Å (Cu Kα)), based on the PBE geometry in Alexandria.
Neutral-atom scattering factors, no anomalous dispersion.

Top 10 peaks for 2θ from 10° to 90°, in order of falling intensity:
2θ (°), d [Å], I_rel
33.49, 2.676, 100.0
10.09, 8.769, 89.7
40.82, 2.210, 67.0
26.38, 3.378, 66.3
37.65, 2.389, 63.8
70.12, 1.342, 31.8
49.26, 1.850, 31.5
65.33, 1.428, 29.7
30.59, 2.923, 28.7
20.25, 4.384, 23.7

Atomic structure:
Lattice parameters (Å, degrees): 6.757 6.757 8.769 90.00 90.00 90.00
Fractional coordinates of all 11 atoms:
Ba  0.000  0.000  0.000
Pd  0.000  0.500  0.500
Pd  0.500  0.000  0.500
Pb  0.253  0.253  0.313
Pb  0.253  0.253  0.687
Pb  0.253  0.747  0.313
Pb  0.253  0.747  0.687
Pb  0.747  0.253  0.313
Pb  0.747  0.253  0.687
Pb  0.747  0.747  0.313
Pb  0.747  0.747  0.687



Entry 6:
Ba3Pd3Pb8: computed powder X-ray diffraction pattern (λ = 1.5418 Å (Cu Kα)), based on the PBE geometry in Alexandria.
Neutral-atom scattering factors, no anomalous dispersion.

Top 10 peaks for 2θ from 10° to 90°, in order of falling intensity:
2θ (°), d [Å], I_rel
34.30, 2.614, 100.0
30.03, 2.976, 96.8
29.78, 3.000, 62.4
38.84, 2.319, 52.8
32.84, 2.727, 48.0
30.30, 2.950, 45.7
35.60, 2.522, 44.2
30.69, 2.914, 33.9
50.27, 1.815, 33.5
39.22, 2.297, 27.4

Atomic structure:
Lattice parameters (Å, degrees): 9.531 9.531 10.525 122.87 122.87 31.83
Fractional coordinates of all 14 atoms:
Ba  0.000  0.000  0.000
Ba  0.291  0.291  0.296
Ba  0.709  0.709  0.704
Pd  0.000  0.000  0.500
Pd  0.345  0.345  0.685
Pd  0.655  0.655  0.315
Pb  0.140  0.140  0.846
Pb  0.151  0.151  0.434
Pb  0.350  0.350  0.958
Pb  0.496  0.496  0.667
Pb  0.504  0.504  0.333
Pb  0.650  0.650  0.042
Pb  0.849  0.849  0.566
Pb  0.860  0.860  0.154